For Dy2Cu2Rh, a GGA-PBE-relaxed structure gives the calculated X-ray diffraction stick pattern in this record (Cu Kα, 1.54184 Å).

Structural model:
Cell: 7.0501 7.0501 7.7585 Å, 90.00 90.00 90.00°
Space group P4/mnc (No. 128)
Asymmetric unit:
Dy 0.1799 0.3113 0.0000 (multiplicity 8)
Cu 0.1206 0.6206 0.2500 (multiplicity 8)
Rh 0.0000 0.0000 0.2185 (multiplicity 4)

Largest 10 diffraction maxima, in order of rising 2θ, 15 to 90 degrees two-theta:
hkl 2 1 0, 28.3°, rel. 15
hkl 2 0 2, 34.4°, rel. 64
hkl 2 2 0, 36.0°, rel. 17
hkl 2 1 2, 36.7°, rel. 100
hkl 3 1 0, 40.5°, rel. 34
hkl 0 0 4, 46.8°, rel. 18
hkl 4 1 0, 53.6°, rel. 16
hkl 4 1 2, 59.0°, rel. 21
hkl 3 3 2, 60.6°, rel. 13
hkl 3 1 4, 63.6°, rel. 14